1.
Simulated powder diffractogram
Compound: Li4Fe3Sb5O16
Radiation: CuKα
Structure: a cell relaxed with GGA+U

abc: 6.1630 6.2078 10.3478
angles: 90.41 90.42 117.95
Fractional positions:
Li 0.0000 0.0000 0.0000
Li 0.0006 0.0109 0.5127
Li 0.3265 0.6596 0.8952
Li 0.6494 0.3172 0.4041
Fe 0.6647 0.8261 0.2232
Fe 0.8364 0.1718 0.7265
Fe 0.8396 0.6683 0.7248
Sb 0.1643 0.8236 0.2270
Sb 0.1722 0.3300 0.2269
Sb 0.3428 0.1790 0.7282
Sb 0.3672 0.6984 0.5222
Sb 0.7004 0.3495 0.9879
O 0.0140 0.0060 0.3308
O 0.0139 0.5073 0.3292
O 0.0170 0.0212 0.8211
O 0.1476 0.3080 0.6248
O 0.1847 0.8693 0.6135
O 0.2998 0.1318 0.1216
O 0.3124 0.6482 0.1182
O 0.4633 0.9540 0.3434
O 0.4755 0.4888 0.3296
O 0.5055 0.4778 0.8431
O 0.5250 0.0354 0.8360
O 0.6550 0.3158 0.6229
O 0.7023 0.8748 0.6149
O 0.8722 0.7051 0.1089
O 0.8735 0.1685 0.1150
O 0.9652 0.4671 0.8450

Main lines, by angle (15 to 90 degrees two-theta):
17.14 deg, I = 93; 18.22 deg, I = 51; 18.34 deg, I = 100; 18.81 deg, I = 55; 30.82 deg, I = 41; 33.76 deg, I = 57; 33.95 deg, I = 64; 34.95 deg, I = 47


2.
Simulated powder diffractogram
Compound: Li4Ti3Fe3Sb2O16
Radiation: CuKα
Structure: a cell relaxed with GGA+U

abc: 6.0237 6.0237 9.7640
angles: 90.86 90.86 59.39
Fractional positions:
Li 0.0000 0.0000 0.0000
Li 0.0035 0.0035 0.5151
Li 0.3401 0.3401 0.5992
Li 0.6698 0.6698 0.0871
Ti 0.1646 0.6585 0.2812
Ti 0.6585 0.1646 0.2812
Ti 0.8271 0.8271 0.7770
Fe 0.1719 0.1719 0.2836
Fe 0.3458 0.8330 0.7845
Fe 0.8330 0.3458 0.7845
Sb 0.3308 0.3308 0.0003
Sb 0.6580 0.6580 0.5129
O 0.0443 0.4951 0.1506
O 0.1629 0.1629 0.9108
O 0.1632 0.6611 0.8994
O 0.3298 0.8242 0.3972
O 0.3513 0.3513 0.3905
O 0.4798 0.4798 0.1562
O 0.4951 0.0443 0.1506
O 0.5193 0.5193 0.6472
O 0.5292 0.9665 0.6423
O 0.6611 0.1632 0.8994
O 0.6825 0.6825 0.8908
O 0.8242 0.3298 0.3972
O 0.8273 0.8273 0.3897
O 0.9665 0.5292 0.6423
O 0.9898 0.9898 0.1921
O 0.9930 0.9930 0.6997

Main lines, by angle (15 to 90 degrees two-theta):
19.11 deg, I = 38; 19.34 deg, I = 100; 19.46 deg, I = 68; 32.63 deg, I = 37; 34.77 deg, I = 32; 35.25 deg, I = 68; 35.74 deg, I = 28; 61.60 deg, I = 30


3.
Simulated powder diffractogram
Compound: Li4FeSbW2O12
Radiation: CuKα
Structure: a cell relaxed with GGA+U

abc: 5.1655 5.4539 7.5161
angles: 85.86 89.96 89.94
Fractional positions:
Li 0.0000 0.0000 0.0000
Li 0.0078 0.0126 0.5306
Li 0.5018 0.3585 0.9393
Li 0.5102 0.4772 0.5271
Fe 0.0043 0.4315 0.7302
Sb 0.5087 0.9196 0.2333
W 0.0104 0.4257 0.2294
W 0.5023 0.9162 0.7314
O 0.1249 0.4070 0.9877
O 0.1923 0.1072 0.2934
O 0.2023 0.7354 0.6651
O 0.3143 0.2183 0.6718
O 0.3211 0.6017 0.2948
O 0.3788 0.9253 0.9810
O 0.6383 0.9082 0.4811
O 0.6784 0.6071 0.7809
O 0.7078 0.2226 0.1549
O 0.8052 0.1032 0.7824
O 0.8233 0.7276 0.1616
O 0.8847 0.4049 0.4668

Main lines, by angle (15 to 90 degrees two-theta):
20.88 deg, I = 15; 23.75 deg, I = 100; 32.95 deg, I = 39; 34.70 deg, I = 27; 42.49 deg, I = 15; 48.60 deg, I = 18; 53.58 deg, I = 27; 55.97 deg, I = 14